Diffraction record for Ta3NO6. The X-ray diffraction stick pattern is calculated, not measured: it uses a crystal structure in the Materials Project, relaxed with PBE and Cu Kα (λ = 1.5418 Å).
Peak positions follow from Bragg's law for the DFT cell and can differ from measured ones.

Atomic structure:
abc: 20.925 3.889 12.041
angles: 90.00 120.10 90.00
Space group Cm (No. 8)
Symmetry-distinct sites (fractional):
Ta (0.000, 0.000, 0.000)
Ta (0.023, 0.000, 0.746)
Ta (0.101, 0.000, 0.372)
Ta (0.128, 0.500, 0.005)
Ta (0.209, 0.000, 0.741)
Ta (0.234, 0.500, 0.373)
Ta (0.310, 0.500, 0.999)
Ta (0.339, 0.500, 0.741)
Ta (0.418, 0.500, 0.373)
N (0.092, 0.000, 0.970)
N (0.247, 0.500, 0.783)
N (0.443, 0.500, 0.793)
O (0.017, 0.000, 0.384)
O (0.018, 0.500, 0.003)
O (0.047, 0.000, 0.185)
O (0.047, 0.500, 0.792)
O (0.125, 0.000, 0.754)
O (0.128, 0.500, 0.375)
O (0.165, 0.000, 0.562)
O (0.173, 0.500, 0.183)
O (0.210, 0.000, 0.372)
O (0.214, 0.500, 0.993)
O (0.290, 0.500, 0.561)
O (0.294, 0.000, 0.959)
O (0.320, 0.500, 0.364)
O (0.321, 0.000, 0.748)
O (0.369, 0.500, 0.177)
O (0.396, 0.500, 0.961)
O (0.418, 0.000, 0.372)
O (0.468, 0.500, 0.568)

Largest 12 diffraction maxima, in order of falling intensity, 10° ≤ 2θ ≤ 80°:
| 2θ/deg | I_rel |
| --- | --- |
| 25.7 | 100.0 |
| 23.4 | 58.5 |
| 17.0 | 42.7 |
| 31.6 | 33.0 |
| 38.6 | 26.4 |
| 54.0 | 25.9 |
| 33.1 | 23.1 |
| 53.7 | 22.2 |
| 46.7 | 21.7 |
| 59.6 | 21.2 |
| 34.9 | 20.4 |
| 38.0 | 20.3 |


Diffraction record for Ta2N3O. The X-ray diffraction stick pattern is calculated, not measured: it uses a crystal structure in the Materials Project, relaxed with PBE and Cu Kα (λ = 1.5418 Å).
Peak positions follow from Bragg's law for the DFT cell and can differ from measured ones.

Atomic structure:
abc: 5.4361 5.4361 2.7967
angles: 90.00 90.00 120.00
Space group P6/mmm (No. 191)
Symmetry-distinct sites (fractional):
Ta (0.3333, 0.6667, 0.0000)
N (0.0000, 0.5000, 0.5000)
O (0.0000, 0.0000, 0.5000)

Largest 12 diffraction maxima, in order of falling intensity, 10° ≤ 2θ ≤ 80°:
| 2θ/deg | I_rel |
| --- | --- |
| 33.0 | 100.0 |
| 18.8 | 94.0 |
| 46.6 | 74.5 |
| 37.4 | 36.3 |
| 32.0 | 24.6 |
| 50.7 | 24.0 |
| 68.6 | 23.8 |
| 58.8 | 19.3 |
| 76.6 | 17.9 |
| 61.8 | 17.0 |
| 69.1 | 14.6 |
| 51.3 | 13.8 |


Diffraction record for ZrTaNO. The X-ray diffraction stick pattern is calculated, not measured: it uses a crystal structure in the Materials Project, relaxed with PBE and Cu Kα (λ = 1.5418 Å).
Peak positions follow from Bragg's law for the DFT cell and can differ from measured ones.

Atomic structure:
abc: 3.6696 3.6696 4.5545
angles: 90.00 90.00 120.00
Space group P-6m2 (No. 187)
Symmetry-distinct sites (fractional):
Zr (0.0000, 0.0000, 0.0000)
Ta (0.3333, 0.6667, 0.5000)
N (0.6667, 0.3333, 0.5000)
O (0.3333, 0.6667, 0.0000)

Largest 12 diffraction maxima, in order of falling intensity, 10° ≤ 2θ ≤ 80°:
| 2θ/deg | I_rel |
| --- | --- |
| 34.4 | 100.0 |
| 28.1 | 42.8 |
| 49.7 | 31.9 |
| 65.3 | 27.3 |
| 39.6 | 20.9 |
| 61.8 | 19.0 |
| 49.2 | 18.6 |
| 68.5 | 14.0 |
| 19.5 | 8.8 |
| 72.5 | 5.9 |
| 58.0 | 5.7 |
| 79.9 | 4.6 |


Diffraction record for Th2N2O. The X-ray diffraction stick pattern is calculated, not measured: it uses a crystal structure in the Materials Project, relaxed with PBE and Cu Kα (λ = 1.5418 Å).
Peak positions follow from Bragg's law for the DFT cell and can differ from measured ones.

Atomic structure:
abc: 3.9546 3.9546 6.0005
angles: 90.00 90.00 120.00
Space group P-3m1 (No. 164)
Symmetry-distinct sites (fractional):
Th (0.3333, 0.6667, 0.2535)
N (0.3333, 0.6667, 0.6509)
O (0.0000, 0.0000, 0.0000)

Largest 12 diffraction maxima, in order of falling intensity, 10° ≤ 2θ ≤ 80°:
| 2θ/deg | I_rel |
| --- | --- |
| 30.0 | 100.0 |
| 45.9 | 28.0 |
| 55.7 | 26.3 |
| 26.0 | 25.7 |
| 29.8 | 24.2 |
| 53.0 | 24.1 |
| 39.9 | 20.7 |
| 55.8 | 18.7 |
| 75.1 | 16.1 |
| 72.7 | 9.6 |
| 62.4 | 5.5 |
| 53.5 | 3.7 |